No. 1
Starting from DFT lattice parameters and positions (PBE), the PXRD pattern of Na9Ag2 was calculated for Cu Kα.

Top 10 peaks for 2θ from 10° to 80°, low angle first:
two_theta	I (rel.)
16.3	55
16.8	100
23.4	78
23.8	32
29.0	32
32.9	51
33.9	38
37.1	62
38.0	32
41.6	39

Cell and atoms:
Lattice parameters (Å, degrees): 13.211 13.211 13.211 132.79 132.79 68.98
Element x y z (fractional)
Na: 0.000 0.336 0.336
Na: 0.000 0.664 0.664
Na: 0.062 0.141 0.579
Na: 0.062 0.483 0.921
Na: 0.100 0.194 0.905
Na: 0.141 0.062 0.079
Na: 0.192 0.442 0.750
Na: 0.192 0.652 0.540
Na: 0.194 0.100 0.405
Na: 0.194 0.789 0.095
Na: 0.211 0.806 0.405
Na: 0.336 0.000 0.836
Na: 0.336 0.500 0.336
Na: 0.348 0.388 0.540
Na: 0.348 0.808 0.960
Na: 0.388 0.348 0.040
Na: 0.442 0.192 0.250
Na: 0.483 0.062 0.421
Na: 0.500 0.336 0.836
Na: 0.500 0.664 0.164
Na: 0.517 0.938 0.579
Na: 0.558 0.808 0.750
Na: 0.612 0.652 0.960
Na: 0.652 0.192 0.040
Na: 0.652 0.612 0.460
Na: 0.664 0.000 0.164
Na: 0.664 0.500 0.664
Na: 0.789 0.194 0.595
Na: 0.806 0.211 0.905
Na: 0.806 0.900 0.595
Na: 0.808 0.348 0.460
Na: 0.808 0.558 0.250
Na: 0.859 0.938 0.921
Na: 0.900 0.806 0.095
Na: 0.938 0.517 0.079
Na: 0.938 0.859 0.421
Ag: 0.106 0.356 0.212
Ag: 0.106 0.894 0.750
Ag: 0.356 0.106 0.712
Ag: 0.356 0.644 0.250
Ag: 0.644 0.356 0.750
Ag: 0.644 0.894 0.288
Ag: 0.894 0.106 0.250
Ag: 0.894 0.644 0.788

No. 2
Starting from DFT lattice parameters and positions (PBE), the PXRD pattern of NaNdAg3S4 was calculated for Cu Kα.

Top 10 peaks for 2θ from 10° to 80°, low angle first:
two_theta	I (rel.)
14.1	97
24.6	43
28.5	45
32.0	51
40.8	100
43.3	28
48.2	18
59.0	16
66.8	16
74.2	32

Cell and atoms:
Lattice parameters (Å, degrees): 6.262 6.262 6.262 90.00 90.00 90.00
Element x y z (fractional)
Na: 0.000 0.000 0.000
Nd: 0.500 0.500 0.500
Ag: 0.000 0.500 0.500
Ag: 0.500 0.000 0.500
Ag: 0.500 0.500 0.000
S: 0.256 0.256 0.256
S: 0.256 0.744 0.744
S: 0.744 0.256 0.744
S: 0.744 0.744 0.256

No. 3
Starting from DFT lattice parameters and positions (PBE), the PXRD pattern of NaNdAg3Te4 was calculated for Cu Kα.

Top 10 peaks for 2θ from 10° to 80°, low angle first:
two_theta	I (rel.)
13.0	35
22.6	72
29.4	21
37.4	100
39.8	11
44.2	36
53.9	17
59.2	15
67.5	34
72.2	11

Cell and atoms:
Lattice parameters (Å, degrees): 6.801 6.801 6.801 90.00 90.00 90.00
Element x y z (fractional)
Na: 0.000 0.000 0.000
Nd: 0.500 0.500 0.500
Ag: 0.000 0.500 0.500
Ag: 0.500 0.000 0.500
Ag: 0.500 0.500 0.000
Te: 0.250 0.250 0.250
Te: 0.250 0.750 0.750
Te: 0.750 0.250 0.750
Te: 0.750 0.750 0.250

Q: Number 2 is which compound?
A: NaNdAg3S4